Simulated powder diffraction line list
Compound: MnBr2F8
Radiation: a wavelength of 1.5418 Å
Structure: a structure optimized by DFT (GGA+U)
Intensities are scaled so that the largest is 100.

Crystal structure
Cell: 5.389 6.235 6.486 Å, 96.86 107.91 106.50°
Sites, in units of the cell vectors:
1 Mn 0.000 0.000 0.000
2 Br 0.249 0.196 0.579
3 Br 0.751 0.804 0.421
4 F 0.166 0.830 0.885
5 F 0.185 0.273 0.845
6 F 0.312 0.099 0.298
7 F 0.374 0.603 0.299
8 F 0.626 0.397 0.701
9 F 0.688 0.901 0.702
10 F 0.815 0.727 0.155
11 F 0.834 0.170 0.115

Peak list (10 most intense, 10 to 90 degrees two-theta, low angle first)
2θ = 15.2°, I 49; 2θ = 19.5°, I 100; 2θ = 26.2°, I 27; 2θ = 27.6°, I 19; 2θ = 30.2°, I 27; 2θ = 30.9°, I 18; 2θ = 33.4°, I 25; 2θ = 38.9°, I 21; 2θ = 42.2°, I 19; 2θ = 46.0°, I 18